Record 1
Theoretical X-ray powder pattern of Er2P3Rh5 for λ = 1.5418 Å (Cu Kα), from a crystal structure in Alexandria, relaxed with PBE.
Kinematic intensities with the Lorentz-polarization factor, no thermal factor.

Largest 6 diffraction maxima, in order of falling intensity, 10 to 90 degrees two-theta:
| two_theta | I/Imax |
| --- | --- |
| 37.09 | 100 |
| 37.35 | 81 |
| 45.04 | 42 |
| 39.99 | 32 |
| 35.76 | 32 |
| 44.55 | 32 |

Crystal structure
a = 12.191 Å, b = 12.191 Å, c = 6.482 Å
α = 90.00°, β = 90.00°, γ = 160.99°
Sites, in units of the cell vectors:
Er1 0.021 0.979 0.500
Er2 0.324 0.676 0.544
Er3 0.676 0.324 0.044
Er4 0.979 0.021 0.000
P1 0.110 0.890 0.246
P2 0.279 0.721 0.101
P3 0.453 0.547 0.291
P4 0.547 0.453 0.791
P5 0.721 0.279 0.601
P6 0.890 0.110 0.746
Rh1 0.096 0.904 0.874
Rh2 0.197 0.803 0.388
Rh3 0.227 0.773 0.794
Rh4 0.378 0.622 0.048
Rh5 0.442 0.558 0.664
Rh6 0.558 0.442 0.164
Rh7 0.622 0.378 0.548
Rh8 0.773 0.227 0.294
Rh9 0.803 0.197 0.888
Rh10 0.904 0.096 0.374



Record 2
Theoretical X-ray powder pattern of Er3P6Rh20 for λ = 1.5418 Å (Cu Kα), from a crystal structure in Alexandria, relaxed with PBE.
Kinematic intensities with the Lorentz-polarization factor, no thermal factor.

Largest 6 diffraction maxima, in order of falling intensity, 10 to 90 degrees two-theta:
| two_theta | I/Imax |
| --- | --- |
| 39.04 | 100 |
| 36.72 | 39 |
| 42.66 | 33 |
| 66.13 | 29 |
| 33.42 | 23 |
| 78.10 | 22 |

Crystal structure
a = 8.478 Å, b = 8.478 Å, c = 8.478 Å
α = 60.00°, β = 60.00°, γ = 60.00°
Sites, in units of the cell vectors:
Er1 0.000 0.000 0.000
Er2 0.250 0.250 0.250
Er3 0.750 0.750 0.750
P1 0.269 0.269 0.731
P2 0.269 0.731 0.269
P3 0.269 0.731 0.731
P4 0.731 0.269 0.269
P5 0.731 0.269 0.731
P6 0.731 0.731 0.269
Rh1 0.000 0.000 0.342
Rh2 0.000 0.000 0.658
Rh3 0.000 0.342 0.000
Rh4 0.000 0.342 0.658
Rh5 0.000 0.658 0.000
Rh6 0.000 0.658 0.342
Rh7 0.150 0.617 0.617
Rh8 0.342 0.000 0.000
Rh9 0.342 0.000 0.658
Rh10 0.342 0.658 0.000
Rh11 0.383 0.383 0.383
Rh12 0.383 0.383 0.850
Rh13 0.383 0.850 0.383
Rh14 0.617 0.150 0.617
Rh15 0.617 0.617 0.150
Rh16 0.617 0.617 0.617
Rh17 0.658 0.000 0.000
Rh18 0.658 0.000 0.342
Rh19 0.658 0.342 0.000
Rh20 0.850 0.383 0.383



Record 3
Theoretical X-ray powder pattern of Er4P6Rh7 for λ = 1.5418 Å (Cu Kα), from a crystal structure in Alexandria, relaxed with PBE.
Kinematic intensities with the Lorentz-polarization factor, no thermal factor.

Largest 6 diffraction maxima, in order of falling intensity, 10 to 90 degrees two-theta:
| two_theta | I/Imax |
| --- | --- |
| 38.21 | 100 |
| 44.41 | 65 |
| 31.00 | 45 |
| 64.61 | 38 |
| 77.61 | 32 |
| 41.40 | 28 |

Crystal structure
a = 7.066 Å, b = 7.066 Å, c = 7.066 Å
α = 109.47°, β = 109.47°, γ = 109.47°
Sites, in units of the cell vectors:
Er1 0.000 0.000 0.500
Er2 0.000 0.500 0.000
Er3 0.500 0.000 0.000
Er4 0.500 0.500 0.500
P1 0.000 0.323 0.323
P2 0.000 0.677 0.677
P3 0.323 0.000 0.323
P4 0.323 0.323 0.000
P5 0.677 0.000 0.677
P6 0.677 0.677 0.000
Rh1 0.000 0.000 0.000
Rh2 0.250 0.500 0.750
Rh3 0.250 0.750 0.500
Rh4 0.500 0.250 0.750
Rh5 0.500 0.750 0.250
Rh6 0.750 0.250 0.500
Rh7 0.750 0.500 0.250



Record 4
Theoretical X-ray powder pattern of Sm2ErP3Rh12 for λ = 1.5418 Å (Cu Kα), from a crystal structure in Alexandria, relaxed with PBE.
Kinematic intensities with the Lorentz-polarization factor, no thermal factor.

Largest 6 diffraction maxima, in order of falling intensity, 10 to 90 degrees two-theta:
| two_theta | I/Imax |
| --- | --- |
| 40.10 | 100 |
| 36.24 | 32 |
| 36.81 | 22 |
| 33.48 | 18 |
| 42.13 | 18 |
| 46.92 | 18 |

Crystal structure
a = 6.732 Å, b = 6.732 Å, c = 6.732 Å
α = 83.82°, β = 83.82°, γ = 83.82°
Sites, in units of the cell vectors:
Sm1 0.128 0.128 0.128
Sm2 0.872 0.872 0.872
Er1 0.500 0.500 0.500
P1 0.000 0.500 0.500
P2 0.500 0.000 0.500
P3 0.500 0.500 0.000
Rh1 0.133 0.133 0.590
Rh2 0.133 0.590 0.133
Rh3 0.165 0.678 0.678
Rh4 0.322 0.322 0.835
Rh5 0.322 0.835 0.322
Rh6 0.410 0.867 0.867
Rh7 0.590 0.133 0.133
Rh8 0.678 0.165 0.678
Rh9 0.678 0.678 0.165
Rh10 0.835 0.322 0.322
Rh11 0.867 0.410 0.867
Rh12 0.867 0.867 0.410



Record 5
Theoretical X-ray powder pattern of Er2Sn2PRh4 for λ = 1.5418 Å (Cu Kα), from a crystal structure in Alexandria, relaxed with PBE.
Kinematic intensities with the Lorentz-polarization factor, no thermal factor.

Largest 6 diffraction maxima, in order of falling intensity, 10 to 90 degrees two-theta:
| two_theta | I/Imax |
| --- | --- |
| 35.18 | 100 |
| 40.77 | 42 |
| 70.61 | 26 |
| 59.21 | 18 |
| 59.02 | 14 |
| 41.01 | 13 |

Crystal structure
a = 6.242 Å, b = 6.242 Å, c = 6.242 Å
α = 119.81°, β = 119.81°, γ = 90.32°
Sites, in units of the cell vectors:
Er1 0.202 0.202 0.000
Er2 0.798 0.798 0.000
Sn1 0.250 0.750 0.500
Sn2 0.750 0.250 0.500
P1 0.500 0.500 0.000
Rh1 0.244 0.244 0.487
Rh2 0.244 0.756 0.000
Rh3 0.756 0.244 0.000
Rh4 0.756 0.756 0.513



Record 6
Theoretical X-ray powder pattern of Sr2ErP3Rh12 for λ = 1.5418 Å (Cu Kα), from a crystal structure in Alexandria, relaxed with PBE.
Kinematic intensities with the Lorentz-polarization factor, no thermal factor.

Largest 6 diffraction maxima, in order of falling intensity, 10 to 90 degrees two-theta:
| two_theta | I/Imax |
| --- | --- |
| 39.95 | 100 |
| 33.37 | 34 |
| 36.19 | 28 |
| 36.80 | 27 |
| 59.47 | 17 |
| 42.07 | 16 |

Crystal structure
a = 6.747 Å, b = 6.747 Å, c = 6.747 Å
α = 83.98°, β = 83.98°, γ = 83.98°
Sites, in units of the cell vectors:
Sr1 0.116 0.116 0.116
Sr2 0.884 0.884 0.884
Er1 0.500 0.500 0.500
P1 0.000 0.500 0.500
P2 0.500 0.000 0.500
P3 0.500 0.500 0.000
Rh1 0.141 0.141 0.577
Rh2 0.141 0.577 0.141
Rh3 0.167 0.677 0.677
Rh4 0.323 0.323 0.833
Rh5 0.323 0.833 0.323
Rh6 0.423 0.859 0.859
Rh7 0.577 0.141 0.141
Rh8 0.677 0.167 0.677
Rh9 0.677 0.677 0.167
Rh10 0.833 0.323 0.323
Rh11 0.859 0.423 0.859
Rh12 0.859 0.859 0.423